(1)
# Zr2Fe3Ge
Calculated X-ray diffraction stick pattern, Cu Ka. Input: a GGA-PBE-relaxed structure.

Crystal structure
```
Zr2Fe3Ge
1.0
5.025 0.000 0.000
-2.513 4.352 0.000
0.000 0.000 8.202
Zr Fe Ge
4 6 2
Cartesian
0.000 2.901 0.536
0.000 2.901 3.565
2.513 1.451 4.637
2.513 1.451 7.666
0.000 1.503 6.152
-1.211 3.600 6.152
1.302 0.751 2.051
1.211 3.600 6.152
3.724 0.751 2.051
2.513 2.849 2.051
0.000 0.000 0.000
0.000 0.000 4.101
```

Most intense lines, 10 to 90 degrees two-theta, low angle first:
2θ 35.74, intensity 49; 2θ 38.90, intensity 80; 2θ 42.18, intensity 100; 2θ 43.01, intensity 65; 2θ 66.32, intensity 27; 2θ 68.63, intensity 26; 2θ 72.11, intensity 24; 2θ 75.71, intensity 23

(2)
# Rb2HgSbCl6
Calculated X-ray diffraction stick pattern, Cu Ka. Input: a GGA-PBE-relaxed structure.

Crystal structure
```
Rb2HgSbCl6
1.0
0.000 5.539 5.539
5.539 0.000 5.539
5.539 5.539 0.000
Rb Hg Sb Cl
2 1 1 6
Cartesian
2.769 2.769 2.769
8.308 8.308 8.308
0.000 0.000 0.000
5.539 5.539 5.539
5.539 5.539 2.895
5.539 2.895 5.539
8.183 5.539 5.539
2.895 5.539 5.539
5.539 8.183 5.539
5.539 5.539 8.183
```

Most intense lines, 10 to 90 degrees two-theta, low angle first:
2θ 16.00, intensity 32; 2θ 22.70, intensity 100; 2θ 32.33, intensity 59; 2θ 39.87, intensity 47; 2θ 46.37, intensity 41; 2θ 52.23, intensity 23; 2θ 62.77, intensity 26; 2θ 76.99, intensity 17

(3)
# TeI4
Calculated X-ray diffraction stick pattern, Cu Ka. Input: a GGA-PBE-relaxed structure.

Crystal structure
```
TeI4
1.0
17.423 0.000 0.000
0.000 7.548 0.000
0.000 0.000 15.189
Te I
8 32
Cartesian
0.000 1.745 0.000
0.000 1.888 8.079
2.432 1.846 4.038
6.280 5.702 11.632
8.711 5.660 0.484
8.711 5.803 7.594
11.143 5.702 11.632
14.991 1.846 4.038
0.000 0.082 2.783
0.000 3.608 5.332
0.000 3.637 13.127
0.000 7.502 10.100
2.068 0.157 14.171
2.077 3.447 9.140
2.201 3.576 1.597
2.206 0.100 6.472
4.290 0.112 2.879
4.324 3.557 5.185
4.387 3.991 12.780
4.421 7.436 10.474
6.505 7.448 14.066
6.510 3.972 9.192
6.635 4.101 1.546
6.643 7.391 6.577
8.711 0.046 2.505
8.711 3.911 5.532
8.711 3.940 12.926
8.711 7.466 10.377
10.788 4.101 1.546
10.780 7.391 6.577
10.913 3.972 9.192
10.917 7.448 14.066
13.001 7.436 10.474
13.036 3.991 12.780
13.098 3.557 5.185
13.133 0.112 2.879
15.217 0.100 6.472
15.221 3.576 1.597
15.354 0.157 14.171
15.346 3.447 9.140
```

Most intense lines, 10 to 90 degrees two-theta, low angle first:
2θ 12.78, intensity 28; 2θ 23.57, intensity 28; 2θ 26.27, intensity 46; 2θ 26.38, intensity 100; 2θ 33.47, intensity 22; 2θ 33.56, intensity 34; 2θ 41.24, intensity 30; 2θ 43.18, intensity 32

(4)
# Rb2Ga2B2O7
Calculated X-ray diffraction stick pattern, Cu Ka. Input: a GGA-PBE-relaxed structure.

Crystal structure
```
Rb2Ga2B2O7
1.0
8.927 0.000 0.000
0.000 7.867 0.000
-3.038 0.000 11.782
Rb Ga B O
8 8 8 28
Cartesian
-0.091 1.006 1.496
-1.610 2.927 7.387
1.410 4.921 9.999
2.929 6.880 4.108
2.961 0.987 7.675
4.480 2.946 1.783
7.499 4.940 4.395
5.980 6.861 10.286
1.249 4.476 1.571
-0.269 7.325 7.462
0.395 0.956 10.435
1.914 2.978 4.544
3.976 4.890 7.238
5.495 6.911 1.347
6.159 0.543 4.320
4.640 3.391 10.211
0.125 0.725 4.866
-1.394 3.209 10.757
1.110 4.952 6.608
2.628 6.849 0.717
3.261 1.018 11.066
4.780 2.916 5.174
7.284 4.659 1.025
5.765 7.142 6.917
-0.967 0.070 4.311
-2.486 3.863 10.202
-0.101 5.519 7.002
1.417 6.282 1.111
0.891 1.519 4.025
-0.628 2.415 9.916
0.547 0.533 6.167
2.066 3.401 0.276
2.536 0.218 0.108
1.017 3.715 6.000
2.068 4.203 3.190
0.549 7.598 9.081
2.297 5.618 6.850
3.816 6.182 0.959
2.074 1.685 10.824
3.593 2.249 4.932
5.341 0.269 2.701
3.822 3.664 8.593
4.873 4.152 5.783
3.354 7.649 11.674
3.824 4.466 11.506
5.343 7.334 5.615
6.517 5.453 1.867
4.998 6.348 7.758
4.472 1.585 10.672
5.991 2.349 4.780
8.376 4.004 1.580
6.857 7.797 7.471
```

Most intense lines, 10 to 90 degrees two-theta, low angle first:
2θ 22.27, intensity 27; 2θ 25.01, intensity 58; 2θ 26.76, intensity 100; 2θ 28.50, intensity 38; 2θ 30.34, intensity 55; 2θ 30.73, intensity 24; 2θ 32.04, intensity 65; 2θ 32.17, intensity 62